Structure and simulated PXRD pattern of CdPd15Pb4 (a cell relaxed with PBE; Cu Kα X-rays).
Lines closer than 0.1° are merged.

Structure:
Unit cell a=4.0919 b=4.0919 c=20.4778 alpha=90.00 beta=90.00 gamma=90.00
Element x y z (fractional)
1 Cd 0.0000 0.0000 0.0000
2 Pd 0.0000 0.5000 0.0976
3 Pd 0.0000 0.5000 0.2986
4 Pd 0.0000 0.5000 0.5000
5 Pd 0.0000 0.5000 0.7014
6 Pd 0.0000 0.5000 0.9024
7 Pd 0.5000 0.0000 0.0976
8 Pd 0.5000 0.0000 0.2986
9 Pd 0.5000 0.0000 0.5000
10 Pd 0.5000 0.0000 0.7014
11 Pd 0.5000 0.0000 0.9024
12 Pd 0.5000 0.5000 0.0000
13 Pd 0.5000 0.5000 0.1994
14 Pd 0.5000 0.5000 0.3995
15 Pd 0.5000 0.5000 0.6005
16 Pd 0.5000 0.5000 0.8006
17 Pb 0.0000 0.0000 0.1964
18 Pb 0.0000 0.0000 0.3988
19 Pb 0.0000 0.0000 0.6012
20 Pb 0.0000 0.0000 0.8036

Most intense lines, 2θ = 10–90°, by angle:
| hkl | 2θ (°) | d (Å) | Rel. int. |
| --- | --- | --- | --- |
| 1 0 0 | 21.71 | 4.093 | 7 |
| 1 1 0 | 30.90 | 2.894 | 6 |
| 1 1 5 | 38.08 | 2.363 | 100 |
| 2 0 0 | 44.26 | 2.047 | 49 |
| 2 1 0 | 49.82 | 1.830 | 3 |
| 2 1 5 | 54.95 | 1.671 | 3 |
| 2 2 0 | 64.38 | 1.447 | 32 |
| 3 0 0 | 68.81 | 1.364 | 2 |
| 3 1 5 | 77.32 | 1.234 | 37 |
| 2 2 10 | 81.45 | 1.182 | 11 |